CoP6W3O24: theoretical X-ray powder pattern (Cu Ka), based on a structure optimized by DFT (GGA+U).
Lines closer than 0.1° are merged.

Top 8 peaks for 10° ≤ 2θ ≤ 90°, in order of rising 2θ:
2theta, I (rel.)
14.18, 41
19.88, 100
20.35, 82
23.68, 35
28.59, 56
31.75, 42
35.35, 35
35.63, 27

```
CoP6W3O24
1.0
4.3649 2.5201 7.3822
-4.3649 2.5201 7.3822
0.0000 -5.0401 7.3822
Co P W O
1 6 3 24
Cartesian
0.0000 0.0000 0.0000
-2.5112 0.0136 8.6372
-1.9022 -2.4932 12.4002
1.2438 -2.1816 8.6372
-1.2081 2.8940 12.4002
1.2674 2.1679 8.6372
3.1103 -0.4008 12.4002
0.0000 0.0000 6.2983
0.0000 0.0000 11.0343
0.0000 0.0000 17.3566
-2.6980 -2.6510 11.0693
-0.5376 -1.5489 5.1603
-3.1943 1.3290 8.5691
-1.6214 -0.3274 7.4025
-2.7125 -2.0888 13.5804
-1.0726 1.2401 5.1603
0.4462 -3.4309 8.5691
-1.5629 -0.0205 9.9010
-0.8163 -1.3697 12.1176
1.0942 -1.2405 7.4025
1.6102 0.3089 5.1603
0.7992 -1.3432 9.9010
0.5272 1.5678 7.4025
-0.7780 1.3918 12.1175
-1.5939 0.1343 16.1880
0.7637 1.3638 9.9010
-0.9469 3.6620 11.0693
0.6806 -1.4475 16.1880
1.5943 -0.0221 12.1175
-0.4527 3.3935 13.5804
2.7481 2.1019 8.5691
3.6448 -1.0110 11.0693
3.1652 -1.3047 13.5804
0.9132 1.3132 16.1879
```